Diffraction record for Pu3TlPd4. The XRD peak list is computed, not measured: it uses a cell relaxed with GGA-PBE and Cu Kα (λ = 1.5418 Å).
Peak positions follow from Bragg's law for the DFT cell and can differ from measured ones.

Structural model:
Cell lengths 6.055, 9.930, 5.911 Å; angles 90.00, 90.00, 90.00 degrees
Positions (direct):
Pu1 0.000 0.000 0.000
Pu2 0.000 0.289 0.215
Pu3 0.000 0.711 0.215
Pu4 0.500 0.211 0.715
Pu5 0.500 0.500 0.500
Pu6 0.500 0.789 0.715
Tl1 0.000 0.500 0.640
Tl2 0.500 0.000 0.140
Pd1 0.000 0.224 0.710
Pd2 0.000 0.776 0.710
Pd3 0.222 0.000 0.509
Pd4 0.278 0.500 0.009
Pd5 0.500 0.276 0.210
Pd6 0.500 0.724 0.210
Pd7 0.722 0.500 0.009
Pd8 0.778 0.000 0.509

Most intense lines, 10° ≤ 2θ ≤ 90°, in order of rising 2θ:
- (1 2 1), d = 3.220 Å, 2θ = 27.71°, I 51
- (2 0 0), d = 3.027 Å, 2θ = 29.51°, I 71
- (0 0 2), d = 2.955 Å, 2θ = 30.24°, I 25
- (0 3 1), d = 2.888 Å, 2θ = 30.97°, I 54
- (2 1 1), d = 2.600 Å, 2θ = 34.49°, I 64
- (1 1 2), d = 2.566 Å, 2θ = 34.97°, I 43
- (0 2 2), d = 2.539 Å, 2θ = 35.35°, I 100
- (0 4 0), d = 2.482 Å, 2θ = 36.19°, I 58
- (2 0 2), d = 2.115 Å, 2θ = 42.76°, I 39
- (2 3 1), d = 2.090 Å, 2θ = 43.30°, I 94
- (2 2 2), d = 1.946 Å, 2θ = 46.69°, I 31
- (2 7 1), d = 1.255 Å, 2θ = 75.78°, I 28